1.
Diffraction record for Sm8Hg2Pb. The X-ray powder pattern is computed, not measured: it uses the PBE geometry in Alexandria and Cu Kα, 1.54184 Å.
Peak positions follow from Bragg's law for the DFT cell and can differ from measured ones.

Most intense lines, 10° ≤ 2θ ≤ 90°, most intense first:
2θ (°)	I_rel
31.68	100.0
32.10	97.7
33.29	49.1
31.53	45.5
46.51	31.3
58.48	17.7
58.74	17.6
44.92	17.4
57.04	17.2
56.78	14.1

Atomic structure:
```
Sm8Hg2Pb
1.0
8.3760 -2.6913 0.0000
8.3760 2.6913 0.0000
-4.3987 0.0000 7.5197
Sm Hg Pb
8 2 1
Cartesian
0.1591 0.0000 1.6599 Sm
-0.6506 0.0000 5.2462 Sm
2.9286 0.0000 4.0849 Sm
6.5903 0.0000 0.3364 Sm
5.7631 0.0000 7.1833 Sm
9.4248 0.0000 3.4349 Sm
13.0039 0.0000 2.2735 Sm
12.1943 0.0000 5.8598 Sm
3.1512 0.0000 0.8442 Hg
9.2022 0.0000 6.6755 Hg
6.1767 0.0000 3.7599 Pb
```

---

2.
Diffraction record for SmHgPb. The X-ray powder pattern is computed, not measured: it uses the PBE geometry in Alexandria and Cu Kα, 1.54184 Å.
Peak positions follow from Bragg's law for the DFT cell and can differ from measured ones.

Most intense lines, 10° ≤ 2θ ≤ 90°, most intense first:
2θ (°)	I_rel
29.63	100.0
33.23	81.5
40.85	46.9
27.81	31.5
49.05	25.4
41.07	23.4
40.10	20.2
25.57	14.5
31.93	11.4
65.45	10.9

Atomic structure:
```
SmHgPb
1.0
6.3144 0.0000 0.0000
0.0000 6.4160 0.0000
-2.6670 0.0000 8.6782
Sm Hg Pb
4 4 4
Cartesian
0.0000 1.0150 0.0000 Sm
-1.3335 5.4010 4.3391 Sm
1.8237 2.1930 4.3391 Sm
3.1572 4.2230 0.0000 Sm
0.9205 1.4771 7.2522 Hg
2.2540 4.9389 2.9131 Hg
5.4112 1.7309 2.9131 Hg
4.0777 4.6851 7.2522 Hg
-1.5643 2.1669 5.7936 Pb
-0.2308 4.2492 1.4545 Pb
2.9264 1.0411 1.4545 Pb
1.5929 5.3749 5.7936 Pb
```

---

3.
Diffraction record for Sm6Hg8Pb. The X-ray powder pattern is computed, not measured: it uses the PBE geometry in Alexandria and Cu Kα, 1.54184 Å.
Peak positions follow from Bragg's law for the DFT cell and can differ from measured ones.

Most intense lines, 10° ≤ 2θ ≤ 90°, most intense first:
2θ (°)	I_rel
34.45	100.0
34.90	93.8
24.33	49.5
49.85	22.0
31.03	20.1
36.02	19.1
61.42	18.0
32.08	16.0
48.72	15.2
68.90	13.9

Atomic structure:
```
Sm6Hg8Pb
1.0
4.4532 2.5710 6.4180
-4.4532 2.5710 6.4180
0.0000 -5.1421 6.4180
Sm Hg Pb
6 8 1
Cartesian
-1.1632 -2.9228 8.3414 Sm
-3.1128 -0.4541 10.9126 Sm
-1.9496 2.4687 8.3414 Sm
1.9496 -2.4687 10.9126 Sm
3.1128 0.4541 8.3414 Sm
1.1632 2.9228 10.9126 Sm
-2.8538 -0.3737 7.4973 Hg
0.0000 0.0000 3.8289 Hg
-1.1033 -2.6583 11.7566 Hg
1.7505 -2.2846 7.4973 Hg
-1.7505 2.2846 11.7566 Hg
1.1033 2.6583 7.4973 Hg
0.0000 0.0000 15.4251 Hg
2.8538 0.3737 11.7567 Hg
0.0000 0.0000 9.6270 Pb
```

---

4.
Diffraction record for SmHg4Pb. The X-ray powder pattern is computed, not measured: it uses the PBE geometry in Alexandria and Cu Kα, 1.54184 Å.
Peak positions follow from Bragg's law for the DFT cell and can differ from measured ones.

Most intense lines, 10° ≤ 2θ ≤ 90°, most intense first:
2θ (°)	I_rel
33.11	100.0
38.00	17.4
38.43	16.9
38.82	16.2
65.57	14.4
66.14	14.0
66.68	13.5
69.48	12.0
55.15	12.0
55.45	11.7

Atomic structure:
```
SmHg4Pb
1.0
4.6852 0.0000 0.0000
0.0000 13.9187 0.0000
0.0000 0.0000 4.7355
Sm Hg Pb
2 8 2
Cartesian
0.0000 0.0000 0.0000 Sm
2.3426 6.9593 0.0000 Sm
0.0000 2.3550 2.3677 Hg
0.0000 4.5774 0.0000 Hg
0.0000 9.3413 0.0000 Hg
0.0000 11.5637 2.3677 Hg
2.3426 2.3820 0.0000 Hg
2.3426 4.6044 2.3677 Hg
2.3426 9.3143 2.3677 Hg
2.3426 11.5367 0.0000 Hg
0.0000 6.9593 2.3677 Pb
2.3426 0.0000 2.3677 Pb
```